The following is a simulated PXRD pattern of Zn2Cr2O5. It was derived from DFT lattice parameters and positions (PBE+U), using CuKα.
No peak broadening, texture or thermal motion is included.

Cell lengths 6.332, 7.533, 4.151 Å; angles 90.00, 90.00, 90.00 degrees
Space group Pbam (No. 55)
Unique sites:
Zn 0.115 0.175 0.000 (multiplicity 4)
Cr 0.230 0.905 0.500 (multiplicity 4)
O 0.000 0.500 0.500 (multiplicity 2)
O 0.107 0.153 0.500 (multiplicity 4)
O 0.196 0.888 0.000 (multiplicity 4)

The 6 most intense peaks (2θ from 5° to 70°), most intense first:
- 35.15°, I 100, (1 2 1)
- 43.60°, I 91, (0 0 2)
- 18.30°, I 74, (1 1 0)
- 30.63°, I 72, (2 1 0)
- 32.09°, I 63, (0 2 1)
- 49.50°, I 59, (3 2 0)